1.
Diffraction record for KBaPrBiO6. The XRD peak list is computed, not measured: it uses a structure optimized by DFT (PBE) and Cu Kα (λ = 1.5418 Å).

Cell and atoms:
a = 8.8819 Å, b = 8.8878 Å, c = 8.9182 Å
α = 90.00°, β = 90.00°, γ = 90.00°
Positions (direct):
K (0.2500, 0.2500, 0.2500)
K (0.2500, 0.7500, 0.2500)
K (0.7500, 0.2500, 0.7500)
K (0.7500, 0.7500, 0.7500)
Ba (0.2500, 0.2500, 0.7500)
Ba (0.2500, 0.7500, 0.7500)
Ba (0.7500, 0.2500, 0.2500)
Ba (0.7500, 0.7500, 0.2500)
Pr (0.0000, 0.0000, 0.0000)
Pr (0.0000, 0.5000, 0.5000)
Pr (0.5000, 0.0000, 0.5000)
Pr (0.5000, 0.5000, 0.0000)
Bi (0.0000, 0.0000, 0.5000)
Bi (0.0000, 0.5000, 0.0000)
Bi (0.5000, 0.0000, 0.0000)
Bi (0.5000, 0.5000, 0.5000)
O (0.0116, 0.0264, 0.2628)
O (0.0116, 0.4736, 0.2372)
O (0.0230, 0.7369, 0.0216)
O (0.0230, 0.7631, 0.4784)
O (0.2375, 0.0201, 0.5356)
O (0.2375, 0.4799, 0.9644)
O (0.2625, 0.0201, 0.9644)
O (0.2625, 0.4799, 0.5356)
O (0.4770, 0.7369, 0.4784)
O (0.4770, 0.7631, 0.0216)
O (0.4884, 0.0264, 0.2372)
O (0.4884, 0.4736, 0.2628)
O (0.5116, 0.5264, 0.7372)
O (0.5116, 0.9736, 0.7628)
O (0.5230, 0.2369, 0.9784)
O (0.5230, 0.2631, 0.5216)
O (0.7375, 0.5201, 0.4644)
O (0.7375, 0.9799, 0.0356)
O (0.7625, 0.5201, 0.0356)
O (0.7625, 0.9799, 0.4644)
O (0.9770, 0.2369, 0.5216)
O (0.9770, 0.2631, 0.9784)
O (0.9884, 0.5264, 0.7628)
O (0.9884, 0.9736, 0.7372)

Largest 10 diffraction maxima, by angle, 10° ≤ 2θ ≤ 90°:
Position (°2θ), d/Å, I_rel
19.96, 4.448, 20.9
28.38, 3.145, 100.0
40.46, 2.230, 9.7
40.62, 2.221, 19.7
50.22, 1.817, 29.4
50.29, 1.814, 14.2
58.67, 1.574, 12.2
66.55, 1.405, 12.5
80.74, 1.190, 7.5
80.90, 1.188, 11.5

2.
Diffraction record for K3UH5C5O12. The XRD peak list is computed, not measured: it uses a structure optimized by DFT (PBE) and Cu Kα (λ = 1.5418 Å).

Cell and atoms:
a = 9.9386 Å, b = 10.3936 Å, c = 10.7798 Å
α = 68.55°, β = 86.36°, γ = 61.62°
Positions (direct):
K (0.0310, 0.4425, 0.3444)
K (0.2700, 0.6893, 0.4266)
K (0.3564, 0.8477, 0.9569)
K (0.6436, 0.1523, 0.0431)
K (0.7300, 0.3107, 0.5734)
K (0.9690, 0.5575, 0.6556)
U (0.3277, 0.0381, 0.2577)
U (0.6723, 0.9619, 0.7423)
H (0.0628, 0.7978, 0.1826)
H (0.0971, 0.8507, 0.8650)
H (0.3205, 0.5229, 0.0863)
H (0.4033, 0.5750, 0.7280)
H (0.4036, 0.6528, 0.7021)
H (0.5964, 0.3472, 0.2979)
H (0.5967, 0.4250, 0.2720)
H (0.6795, 0.4771, 0.9137)
H (0.9029, 0.1493, 0.1350)
H (0.9372, 0.2022, 0.8174)
C (0.0330, 0.0552, 0.4558)
C (0.0769, 0.3208, 0.9965)
C (0.2318, 0.3180, 0.9536)
C (0.2935, 0.1861, 0.6605)
C (0.3572, 0.2887, 0.5588)
C (0.6428, 0.7113, 0.4412)
C (0.7065, 0.8139, 0.3395)
C (0.7682, 0.6820, 0.0464)
C (0.9231, 0.6792, 0.0035)
C (0.9670, 0.9448, 0.5442)
O (0.0305, 0.8045, 0.5563)
O (0.0438, 0.5957, 0.0838)
O (0.0936, 0.2255, 0.1196)
O (0.1517, 0.9869, 0.4006)
O (0.1529, 0.2357, 0.6584)
O (0.2359, 0.4068, 0.8418)
O (0.2652, 0.4269, 0.4828)
O (0.3212, 0.1670, 0.3381)
O (0.3301, 0.9036, 0.1816)
O (0.3491, 0.2115, 0.0472)
O (0.4019, 0.0519, 0.7439)
O (0.4947, 0.7803, 0.4342)
O (0.5053, 0.2197, 0.5658)
O (0.5981, 0.9481, 0.2561)
O (0.6509, 0.7885, 0.9528)
O (0.6699, 0.0964, 0.8184)
O (0.6788, 0.8330, 0.6619)
O (0.7348, 0.5731, 0.5172)
O (0.7641, 0.5932, 0.1582)
O (0.8471, 0.7643, 0.3416)
O (0.8483, 0.0131, 0.5994)
O (0.9064, 0.7745, 0.8804)
O (0.9562, 0.4043, 0.9162)
O (0.9695, 0.1955, 0.4437)

Largest 10 diffraction maxima, by angle, 10° ≤ 2θ ≤ 90°:
Position (°2θ), d/Å, I_rel
10.47, 8.446, 100.0
11.93, 7.417, 39.5
12.62, 7.017, 21.2
14.44, 6.135, 24.2
16.89, 5.250, 23.8
18.31, 4.845, 18.8
20.47, 4.338, 18.3
21.79, 4.080, 23.6
26.98, 3.304, 13.7
31.39, 2.850, 17.0

3.
Diffraction record for GeO2. The XRD peak list is computed, not measured: it uses a structure optimized by DFT (PBE) and Cu Kα (λ = 1.5418 Å).

Cell and atoms:
a = 4.3746 Å, b = 5.4090 Å, c = 4.8394 Å
α = 90.00°, β = 90.00°, γ = 90.00°
Positions (direct):
Ge (0.0000, 0.1584, 0.2500)
Ge (0.0000, 0.8416, 0.7500)
Ge (0.5000, 0.3416, 0.7500)
Ge (0.5000, 0.6584, 0.2500)
O (0.2320, 0.1125, 0.5785)
O (0.2320, 0.8875, 0.0785)
O (0.2680, 0.3875, 0.0785)
O (0.2680, 0.6125, 0.5785)
O (0.7320, 0.3875, 0.4215)
O (0.7320, 0.6125, 0.9215)
O (0.7680, 0.1125, 0.9215)
O (0.7680, 0.8875, 0.4215)

Largest 10 diffraction maxima, by angle, 10° ≤ 2θ ≤ 90°:
Position (°2θ), d/Å, I_rel
26.20, 3.401, 43.0
32.17, 2.783, 100.0
38.12, 2.361, 23.4
46.03, 1.972, 14.8
55.09, 1.667, 16.0
56.73, 1.623, 20.4
57.43, 1.604, 31.9
63.87, 1.458, 14.8
68.33, 1.373, 15.4
69.53, 1.352, 15.3

Copy entry 3 word for word.
Diffraction record for GeO2. The XRD peak list is computed, not measured: it uses a structure optimized by DFT (PBE) and Cu Kα (λ = 1.5418 Å).

Cell and atoms:
a = 4.3746 Å, b = 5.4090 Å, c = 4.8394 Å
α = 90.00°, β = 90.00°, γ = 90.00°
Positions (direct):
Ge (0.0000, 0.1584, 0.2500)
Ge (0.0000, 0.8416, 0.7500)
Ge (0.5000, 0.3416, 0.7500)
Ge (0.5000, 0.6584, 0.2500)
O (0.2320, 0.1125, 0.5785)
O (0.2320, 0.8875, 0.0785)
O (0.2680, 0.3875, 0.0785)
O (0.2680, 0.6125, 0.5785)
O (0.7320, 0.3875, 0.4215)
O (0.7320, 0.6125, 0.9215)
O (0.7680, 0.1125, 0.9215)
O (0.7680, 0.8875, 0.4215)

Largest 10 diffraction maxima, by angle, 10° ≤ 2θ ≤ 90°:
Position (°2θ), d/Å, I_rel
26.20, 3.401, 43.0
32.17, 2.783, 100.0
38.12, 2.361, 23.4
46.03, 1.972, 14.8
55.09, 1.667, 16.0
56.73, 1.623, 20.4
57.43, 1.604, 31.9
63.87, 1.458, 14.8
68.33, 1.373, 15.4
69.53, 1.352, 15.3